Starting from DFT lattice parameters and positions (GGA+U), the X-ray powder pattern of Ba3Mn2CdO8 was calculated for Cu Ka.

Structure:
a b c (Å): 5.9563 5.9563 7.6144
angles (deg): 90.00 90.00 120.00
Space group P-3m1 (No. 164)
Asymmetric unit:
Ba (0.0000, 0.0000, 0.0000) [1 per cell]
Ba (0.3333, 0.6667, 0.6525) [2 per cell]
Mn (0.3333, 0.6667, 0.2096) [2 per cell]
Cd (0.0000, 0.0000, 0.5000) [1 per cell]
O (0.1709, 0.3418, 0.3078) [6 per cell]
O (0.3333, 0.6667, 0.9806) [2 per cell]

Principal peaks in the range 2θ from 10° to 90°, low angle first:
| Position (°2θ) | I_rel | index |
| --- | --- | --- |
| 29.2 | 84.7 | 0 1 2 |
| 30.0 | 100.0 | 1 1 0 |
| 42.3 | 44.6 | 2 0 2 |
| 52.8 | 31.7 | 1 2 2 |
| 53.3 | 19.1 | 3 0 0 |
| 62.4 | 16.1 | 2 2 0 |